Record 1
The following is a theoretical X-ray powder pattern of TbPu2Rh9. It was derived from a PBE-relaxed structure, using Cu Kα (weighted mean of Kα1 and Kα2).

Largest 10 diffraction maxima, sorted by position, 2θ from 10° to 80°:
2theta, d (Å), I (rel.)
30.8, 2.899, 40
33.6, 2.666, 34
34.1, 2.626, 47
39.8, 2.266, 37
40.0, 2.253, 100
42.0, 2.150, 18
42.7, 2.118, 22
43.3, 2.088, 25
65.1, 1.433, 24
71.9, 1.313, 25

Structure:
abc: 9.285 9.285 9.285
angles: 32.86 32.86 32.86
Fractional positions:
Tb 0.000 0.000 0.000
Pu 0.140 0.140 0.140
Pu 0.860 0.860 0.860
Rh 0.081 0.585 0.585
Rh 0.333 0.333 0.333
Rh 0.415 0.415 0.919
Rh 0.415 0.919 0.415
Rh 0.500 0.500 0.500
Rh 0.585 0.081 0.585
Rh 0.585 0.585 0.081
Rh 0.667 0.667 0.667
Rh 0.919 0.415 0.415

***

Record 2
The following is a theoretical X-ray powder pattern of Tb2PuRh2. It was derived from a PBE-relaxed structure, using Cu Kα (weighted mean of Kα1 and Kα2).

Largest 10 diffraction maxima, sorted by position, 2θ from 10° to 80°:
2theta, d (Å), I (rel.)
26.3, 3.383, 20
27.3, 3.269, 19
28.2, 3.160, 41
33.6, 2.664, 100
34.6, 2.592, 32
36.2, 2.483, 63
38.4, 2.343, 27
40.9, 2.208, 28
42.9, 2.108, 40
55.6, 1.654, 20

Structure:
abc: 5.696 4.216 10.352
angles: 90.00 95.60 90.00
Fractional positions:
Tb 0.112 0.250 0.376
Tb 0.251 0.250 0.037
Tb 0.749 0.750 0.963
Tb 0.888 0.750 0.624
Pu 0.397 0.250 0.706
Pu 0.603 0.750 0.294
Rh 0.250 0.750 0.854
Rh 0.342 0.750 0.534
Rh 0.658 0.250 0.466
Rh 0.750 0.250 0.146

***

Record 3
The following is a theoretical X-ray powder pattern of TbPu2Rh2. It was derived from a PBE-relaxed structure, using Cu Kα (weighted mean of Kα1 and Kα2).

Largest 10 diffraction maxima, sorted by position, 2θ from 10° to 80°:
2theta, d (Å), I (rel.)
12.2, 7.279, 18
29.2, 3.055, 18
30.7, 2.912, 51
34.8, 2.576, 100
40.1, 2.248, 67
46.2, 1.966, 24
50.1, 1.820, 22
53.4, 1.716, 20
56.5, 1.629, 19
78.1, 1.223, 17

Structure:
abc: 14.671 14.671 3.932
angles: 90.00 90.00 165.74
Fractional positions:
Tb 0.141 0.859 0.750
Tb 0.859 0.141 0.250
Pu 0.245 0.755 0.250
Pu 0.445 0.555 0.750
Pu 0.555 0.445 0.250
Pu 0.755 0.245 0.750
Rh 0.036 0.964 0.750
Rh 0.333 0.667 0.750
Rh 0.667 0.333 0.250
Rh 0.964 0.036 0.250

***

Record 4
The following is a theoretical X-ray powder pattern of Pu4TcRh. It was derived from a PBE-relaxed structure, using Cu Kα (weighted mean of Kα1 and Kα2).

Largest 10 diffraction maxima, sorted by position, 2θ from 10° to 80°:
2theta, d (Å), I (rel.)
21.9, 4.064, 15
35.2, 2.553, 100
38.4, 2.346, 74
47.6, 1.909, 3
53.0, 1.728, 32
60.9, 1.521, 20
67.3, 1.391, 31
69.4, 1.355, 13
70.0, 1.345, 3
74.3, 1.277, 11

Structure:
abc: 4.693 4.693 6.563
angles: 90.00 90.00 120.00
Fractional positions:
Pu 0.333 0.667 0.335
Pu 0.333 0.667 0.841
Pu 0.667 0.333 0.159
Pu 0.667 0.333 0.665
Tc 0.000 0.000 0.000
Rh 0.000 0.000 0.500

***

Record 5
The following is a theoretical X-ray powder pattern of Pu4TcRh2. It was derived from a PBE-relaxed structure, using Cu Kα (weighted mean of Kα1 and Kα2).

Largest 10 diffraction maxima, sorted by position, 2θ from 10° to 80°:
2theta, d (Å), I (rel.)
25.9, 3.436, 19
33.2, 2.700, 51
33.8, 2.655, 100
39.7, 2.270, 40
40.0, 2.254, 32
40.2, 2.245, 30
53.3, 1.718, 24
55.2, 1.665, 13
55.5, 1.656, 16
55.8, 1.646, 21

Structure:
abc: 7.313 7.313 7.313
angles: 110.00 110.00 108.42
Fractional positions:
Pu 0.119 0.231 0.745
Pu 0.124 0.736 0.755
Pu 0.264 0.019 0.387
Pu 0.486 0.374 0.255
Pu 0.626 0.881 0.113
Pu 0.631 0.876 0.613
Pu 0.769 0.514 0.887
Pu 0.981 0.369 0.245
Tc 0.000 0.000 0.000
Tc 0.750 0.250 0.500
Rh 0.259 0.625 0.134
Rh 0.375 0.509 0.634
Rh 0.491 0.125 0.866
Rh 0.875 0.741 0.366

***

Record 6
The following is a theoretical X-ray powder pattern of Pu12TcRh6. It was derived from a PBE-relaxed structure, using Cu Kα (weighted mean of Kα1 and Kα2).

Largest 10 diffraction maxima, sorted by position, 2θ from 10° to 80°:
2theta, d (Å), I (rel.)
26.4, 3.377, 39
28.6, 3.118, 18
29.7, 3.003, 31
35.5, 2.530, 95
37.3, 2.409, 81
38.1, 2.361, 59
40.7, 2.215, 100
54.3, 1.688, 29
67.2, 1.393, 22
67.4, 1.390, 19

Structure:
abc: 7.300 7.300 7.300
angles: 95.43 95.43 95.43
Fractional positions:
Pu 0.079 0.150 0.393
Pu 0.150 0.393 0.079
Pu 0.178 0.469 0.593
Pu 0.393 0.079 0.150
Pu 0.407 0.822 0.531
Pu 0.469 0.593 0.178
Pu 0.531 0.407 0.822
Pu 0.593 0.178 0.469
Pu 0.607 0.921 0.850
Pu 0.822 0.531 0.407
Pu 0.850 0.607 0.921
Pu 0.921 0.850 0.607
Tc 0.000 0.000 0.000
Rh 0.106 0.761 0.257
Rh 0.239 0.743 0.894
Rh 0.257 0.106 0.761
Rh 0.743 0.894 0.239
Rh 0.761 0.257 0.106
Rh 0.894 0.239 0.743

***

Record 7
The following is a theoretical X-ray powder pattern of Pu6ThRh5. It was derived from a PBE-relaxed structure, using Cu Kα (weighted mean of Kα1 and Kα2).

Largest 10 diffraction maxima, sorted by position, 2θ from 10° to 80°:
2theta, d (Å), I (rel.)
27.8, 3.205, 29
34.0, 2.635, 67
35.1, 2.560, 45
35.3, 2.539, 84
35.5, 2.528, 100
37.1, 2.422, 56
37.3, 2.408, 25
37.7, 2.389, 78
41.2, 2.189, 27
48.1, 1.891, 34

Structure:
abc: 5.609 6.004 7.863
angles: 75.89 85.19 80.42
Fractional positions:
Pu 0.021 0.235 0.485
Pu 0.219 0.261 0.884
Pu 0.296 0.783 0.844
Pu 0.704 0.217 0.156
Pu 0.781 0.739 0.116
Pu 0.979 0.765 0.515
Th 0.500 0.500 0.500
Rh 0.244 0.489 0.184
Rh 0.251 0.964 0.199
Rh 0.500 0.000 0.500
Rh 0.749 0.036 0.801
Rh 0.756 0.511 0.816

***

Record 8
The following is a theoretical X-ray powder pattern of Tm5PuRh6. It was derived from a PBE-relaxed structure, using Cu Kα (weighted mean of Kα1 and Kα2).

Largest 10 diffraction maxima, sorted by position, 2θ from 10° to 80°:
2theta, d (Å), I (rel.)
26.6, 3.357, 8
37.4, 2.407, 100
37.9, 2.377, 24
38.0, 2.370, 24
53.0, 1.727, 9
54.7, 1.678, 17
67.0, 1.397, 18
68.0, 1.378, 17
68.2, 1.376, 17
79.7, 1.204, 11

Structure:
abc: 7.513 7.513 6.909
angles: 90.00 90.00 143.22
Fractional positions:
Tm 0.000 0.000 0.000
Tm 0.333 0.667 0.000
Tm 0.333 0.667 0.500
Tm 0.667 0.333 0.000
Tm 0.667 0.333 0.500
Pu 0.000 0.000 0.500
Rh 0.167 0.833 0.248
Rh 0.167 0.833 0.752
Rh 0.500 0.500 0.248
Rh 0.500 0.500 0.752
Rh 0.833 0.167 0.248
Rh 0.833 0.167 0.752

***

Record 9
The following is a theoretical X-ray powder pattern of Pu6ZnRh5. It was derived from a PBE-relaxed structure, using Cu Kα (weighted mean of Kα1 and Kα2).

Largest 10 diffraction maxima, sorted by position, 2θ from 10° to 80°:
2theta, d (Å), I (rel.)
25.4, 3.512, 10
26.1, 3.414, 19
36.7, 2.448, 100
37.2, 2.418, 25
37.3, 2.410, 23
52.1, 1.756, 9
53.7, 1.707, 16
65.8, 1.419, 13
66.7, 1.402, 18
66.9, 1.399, 15

Structure:
abc: 8.392 8.392 4.835
angles: 106.70 106.70 118.98
Fractional positions:
Pu 0.067 0.416 0.742
Pu 0.235 0.235 0.235
Pu 0.416 0.067 0.742
Pu 0.584 0.933 0.258
Pu 0.765 0.765 0.765
Pu 0.933 0.584 0.258
Zn 0.500 0.500 0.000
Rh 0.000 0.000 0.500
Rh 0.165 0.835 0.000
Rh 0.350 0.650 0.500
Rh 0.650 0.350 0.500
Rh 0.835 0.165 0.000

***

Record 10
The following is a theoretical X-ray powder pattern of Pu3Zn5Rh2. It was derived from a PBE-relaxed structure, using Cu Kα (weighted mean of Kα1 and Kα2).

Largest 10 diffraction maxima, sorted by position, 2θ from 10° to 80°:
2theta, d (Å), I (rel.)
10.7, 8.270, 37
30.2, 2.957, 27
31.7, 2.827, 88
34.5, 2.598, 94
35.0, 2.564, 100
44.3, 2.043, 65
44.7, 2.028, 70
54.9, 1.672, 22
56.1, 1.639, 22
64.5, 1.446, 22

Structure:
abc: 8.747 8.747 8.747
angles: 97.22 94.93 142.04
Fractional positions:
Pu 0.247 0.136 0.383
Pu 0.250 0.250 0.000
Pu 0.253 0.636 0.889
Pu 0.747 0.364 0.111
Pu 0.750 0.750 0.000
Pu 0.753 0.864 0.617
Zn 0.144 0.394 0.538
Zn 0.250 0.517 0.267
Zn 0.250 0.750 0.500
Zn 0.250 0.983 0.733
Zn 0.356 0.894 0.250
Zn 0.644 0.106 0.750
Zn 0.750 0.017 0.267
Zn 0.750 0.250 0.500
Zn 0.750 0.483 0.733
Zn 0.856 0.606 0.462
Rh 0.149 0.852 0.001
Rh 0.351 0.352 0.703
Rh 0.649 0.648 0.297
Rh 0.851 0.148 0.999

***

Record 11
The following is a theoretical X-ray powder pattern of Pu2ZnRh6. It was derived from a PBE-relaxed structure, using Cu Kα (weighted mean of Kα1 and Kα2).

Largest 10 diffraction maxima, sorted by position, 2θ from 10° to 80°:
2theta, d (Å), I (rel.)
24.1, 3.700, 17
31.1, 2.873, 19
35.8, 2.511, 22
36.4, 2.470, 44
37.2, 2.418, 19
40.5, 2.228, 100
49.3, 1.850, 15
58.4, 1.579, 15
60.0, 1.542, 15
67.0, 1.396, 20

Structure:
abc: 5.584 5.584 5.745
angles: 90.00 90.00 120.00
Fractional positions:
Pu 0.333 0.667 0.315
Pu 0.667 0.333 0.685
Zn 0.000 0.000 0.500
Rh 0.176 0.352 0.821
Rh 0.176 0.824 0.821
Rh 0.352 0.176 0.179
Rh 0.648 0.824 0.821
Rh 0.824 0.176 0.179
Rh 0.824 0.648 0.179

***

Record 12
The following is a theoretical X-ray powder pattern of Pu5Ru4. It was derived from a PBE-relaxed structure, using Cu Kα (weighted mean of Kα1 and Kα2).

Largest 10 diffraction maxima, sorted by position, 2θ from 10° to 80°:
2theta, d (Å), I (rel.)
29.6, 3.014, 24
32.9, 2.720, 100
34.0, 2.636, 61
35.4, 2.534, 53
36.2, 2.479, 27
39.8, 2.268, 35
40.1, 2.248, 20
41.7, 2.164, 42
56.1, 1.638, 15
56.4, 1.630, 16

Structure:
abc: 5.436 5.436 9.396
angles: 109.60 109.60 46.92
Fractional positions:
Pu 0.000 0.000 0.000
Pu 0.103 0.103 0.402
Pu 0.243 0.243 0.820
Pu 0.757 0.757 0.180
Pu 0.897 0.897 0.598
Ru 0.363 0.363 0.387
Ru 0.446 0.446 0.134
Ru 0.554 0.554 0.866
Ru 0.637 0.637 0.613

***

Record 13
The following is a theoretical X-ray powder pattern of Pu5Ru2. It was derived from a PBE-relaxed structure, using Cu Kα (weighted mean of Kα1 and Kα2).

Largest 10 diffraction maxima, sorted by position, 2θ from 10° to 80°:
2theta, d (Å), I (rel.)
23.3, 3.817, 32
24.8, 3.596, 47
28.3, 3.159, 32
31.5, 2.840, 43
35.2, 2.550, 49
36.9, 2.435, 96
37.7, 2.387, 77
41.1, 2.197, 100
56.3, 1.635, 24
71.6, 1.317, 24

Structure:
abc: 7.872 7.872 7.872
angles: 121.92 78.08 132.68
Fractional positions:
Pu 0.017 0.750 0.267
Pu 0.096 0.647 0.743
Pu 0.250 0.250 0.000
Pu 0.404 0.147 0.550
Pu 0.483 0.750 0.733
Pu 0.517 0.250 0.267
Pu 0.596 0.853 0.450
Pu 0.750 0.750 0.000
Pu 0.904 0.353 0.257
Pu 0.983 0.250 0.733
Ru 0.115 0.228 0.342
Ru 0.385 0.728 0.113
Ru 0.615 0.272 0.887
Ru 0.885 0.772 0.658